1.
Diffraction record for SrMgNi4O8. The powder diffractogram is simulated, not measured: it uses a PBE+U-relaxed structure and CuKα.
Kinematic intensities with the Lorentz-polarization factor, no thermal factor.

Main lines, by angle (2θ from 10° to 90°):
2θ 16.6, I 900; 2θ 18.3, I 352; 2θ 33.5, I 296; 2θ 36.4, I 388; 2θ 41.5, I 1000; 2θ 41.9, I 480; 2θ 58.0, I 285; 2θ 62.8, I 257

Cell and atoms:
```
SrMgNi4O8
1.0
5.097 -3.008 0.000
5.097 3.008 0.000
-3.374 0.000 5.356
Sr Mg Ni O
1 1 4 8
Direct
0.000 0.000 0.000 Sr
0.500 0.500 0.000 Mg
0.000 0.000 0.500 Ni
0.000 0.500 0.500 Ni
0.500 0.000 0.500 Ni
0.500 0.500 0.500 Ni
0.235 0.705 0.704 O
0.242 0.242 0.691 O
0.267 0.267 0.326 O
0.295 0.765 0.296 O
0.705 0.235 0.704 O
0.733 0.733 0.674 O
0.758 0.758 0.309 O
0.765 0.295 0.296 O
```


2.
Diffraction record for Fe3O4F2. The powder diffractogram is simulated, not measured: it uses a PBE+U-relaxed structure and CuKα.
Kinematic intensities with the Lorentz-polarization factor, no thermal factor.

Main lines, by angle (2θ from 10° to 90°):
2θ 25.2, I 1000; 2θ 27.9, I 878; 2θ 35.2, I 902; 2θ 37.9, I 178; 2θ 39.3, I 164; 2θ 51.2, I 592; 2θ 54.2, I 486; 2θ 66.7, I 377

Cell and atoms:
```
Fe3O4F2
1.0
4.771 0.000 0.000
0.469 5.622 0.000
0.472 0.777 7.643
Fe O F
6 8 4
Direct
0.000 0.000 0.000 Fe
0.003 0.335 0.668 Fe
0.453 0.469 0.983 Fe
0.460 0.146 0.315 Fe
0.466 0.805 0.663 Fe
0.965 0.644 0.322 Fe
0.163 0.352 0.426 O
0.168 0.022 0.758 O
0.169 0.686 0.097 O
0.283 0.527 0.760 O
0.284 0.190 0.096 O
0.778 0.611 0.553 O
0.779 0.943 0.226 O
0.780 0.279 0.888 O
0.275 0.848 0.426 F
0.645 0.098 0.548 F
0.663 0.772 0.890 F
0.665 0.445 0.221 F
```


3.
Diffraction record for Li9Mn7O16. The powder diffractogram is simulated, not measured: it uses a PBE+U-relaxed structure and CuKα.
Kinematic intensities with the Lorentz-polarization factor, no thermal factor.

Main lines, by angle (2θ from 10° to 90°):
2θ 18.3, I 1000; 2θ 33.9, I 185; 2θ 36.1, I 236; 2θ 40.8, I 353; 2θ 44.0, I 279; 2θ 44.2, I 275; 2θ 61.3, I 170; 2θ 63.6, I 93

Cell and atoms:
```
Li9Mn7O16
1.0
5.107 0.000 0.000
-1.764 7.483 0.000
-1.348 -1.788 7.813
Li Mn O
9 7 16
Direct
0.000 0.000 0.000 Li
0.000 0.125 0.371 Li
0.000 0.500 0.500 Li
0.000 0.875 0.629 Li
0.004 0.384 0.115 Li
0.011 0.257 0.759 Li
0.500 0.500 0.000 Li
0.989 0.743 0.241 Li
0.996 0.616 0.885 Li
0.490 0.870 0.121 Mn
0.497 0.250 0.244 Mn
0.498 0.623 0.368 Mn
0.500 0.000 0.500 Mn
0.502 0.377 0.632 Mn
0.503 0.750 0.756 Mn
0.510 0.130 0.879 Mn
0.255 0.642 0.128 O
0.265 0.131 0.614 O
0.265 0.507 0.739 O
0.266 0.008 0.243 O
0.269 0.880 0.860 O
0.270 0.379 0.361 O
0.290 0.243 0.020 O
0.292 0.755 0.519 O
0.708 0.245 0.481 O
0.710 0.757 0.980 O
0.730 0.621 0.639 O
0.731 0.120 0.140 O
0.734 0.992 0.757 O
0.735 0.493 0.261 O
0.735 0.869 0.386 O
0.745 0.358 0.872 O
```


4.
Diffraction record for Li4Ni3SbO8. The powder diffractogram is simulated, not measured: it uses a PBE+U-relaxed structure and CuKα.
Kinematic intensities with the Lorentz-polarization factor, no thermal factor.

Main lines, by angle (2θ from 10° to 90°):
2θ 18.2, I 1000; 2θ 35.1, I 476; 2θ 36.7, I 197; 2θ 42.6, I 211; 2θ 42.8, I 419; 2θ 46.8, I 120; 2θ 61.9, I 122; 2θ 62.0, I 179

Cell and atoms:
```
Li4Ni3SbO8
1.0
5.988 0.000 0.000
2.990 5.194 0.000
2.992 1.704 9.759
Li Ni Sb O
8 6 2 16
Direct
0.239 0.255 0.254 Li
0.250 0.748 0.750 Li
0.253 0.748 0.249 Li
0.254 0.235 0.756 Li
0.746 0.765 0.244 Li
0.747 0.252 0.751 Li
0.750 0.252 0.250 Li
0.761 0.745 0.746 Li
0.000 0.000 0.000 Ni
0.000 0.000 0.500 Ni
0.000 0.500 0.500 Ni
0.500 0.000 0.000 Ni
0.500 0.500 0.000 Ni
0.500 0.500 0.500 Ni
0.000 0.500 0.000 Sb
0.500 0.000 0.500 Sb
0.119 0.623 0.118 O
0.120 0.140 0.117 O
0.125 0.641 0.607 O
0.140 0.121 0.617 O
0.355 0.878 0.892 O
0.358 0.378 0.882 O
0.379 0.358 0.383 O
0.379 0.880 0.382 O
0.621 0.120 0.618 O
0.621 0.642 0.617 O
0.642 0.622 0.118 O
0.645 0.122 0.108 O
0.860 0.879 0.383 O
0.875 0.359 0.393 O
0.880 0.860 0.883 O
0.881 0.377 0.882 O
```


5.
Diffraction record for LiMnF4. The powder diffractogram is simulated, not measured: it uses a PBE+U-relaxed structure and CuKα.
Kinematic intensities with the Lorentz-polarization factor, no thermal factor.

Main lines, by angle (2θ from 10° to 90°):
2θ 17.4, I 929; 2θ 24.4, I 1000; 2θ 30.1, I 879; 2θ 40.6, I 455; 2θ 43.3, I 223; 2θ 53.1, I 280; 2θ 53.3, I 374; 2θ 63.5, I 286

Cell and atoms:
```
LiMnF4
1.0
4.696 0.000 0.000
0.000 5.817 0.000
0.000 0.000 10.174
Li Mn F
4 4 16
Direct
0.000 0.163 0.250 Li
0.000 0.837 0.750 Li
0.500 0.337 0.750 Li
0.500 0.663 0.250 Li
0.000 0.500 0.000 Mn
0.000 0.500 0.500 Mn
0.500 0.000 0.000 Mn
0.500 0.000 0.500 Mn
0.210 0.468 0.154 F
0.210 0.532 0.654 F
0.239 0.206 0.417 F
0.239 0.794 0.917 F
0.261 0.294 0.917 F
0.261 0.706 0.417 F
0.290 0.032 0.654 F
0.290 0.968 0.154 F
0.710 0.032 0.846 F
0.710 0.968 0.346 F
0.739 0.294 0.583 F
0.739 0.706 0.083 F
0.761 0.206 0.083 F
0.761 0.794 0.583 F
0.790 0.468 0.346 F
0.790 0.532 0.846 F
```


6.
Diffraction record for Sr4CaMn2Ga2O11. The powder diffractogram is simulated, not measured: it uses a PBE+U-relaxed structure and CuKα.
Kinematic intensities with the Lorentz-polarization factor, no thermal factor.

Main lines, by angle (2θ from 10° to 90°):
2θ 30.1, I 262; 2θ 30.9, I 1000; 2θ 31.0, I 709; 2θ 31.6, I 364; 2θ 32.0, I 251; 2θ 32.1, I 236; 2θ 44.0, I 457; 2θ 44.6, I 367

Cell and atoms:
```
Sr4CaMn2Ga2O11
1.0
5.778 0.000 0.000
0.088 5.796 0.000
2.472 2.699 8.062
Sr Ca Mn Ga O
4 1 2 2 11
Direct
0.119 0.120 0.271 Sr
0.318 0.329 0.837 Sr
0.682 0.671 0.163 Sr
0.881 0.880 0.729 Sr
0.500 0.500 0.500 Ca
0.000 0.500 0.500 Mn
0.500 0.000 0.500 Mn
0.240 0.764 0.001 Ga
0.760 0.236 0.999 Ga
0.000 0.000 0.000 O
0.000 0.500 0.000 O
0.204 0.235 0.569 O
0.211 0.580 0.232 O
0.241 0.782 0.499 O
0.415 0.794 0.771 O
0.500 0.000 0.000 O
0.585 0.206 0.229 O
0.759 0.218 0.501 O
0.789 0.420 0.768 O
0.796 0.765 0.431 O
```


7.
Diffraction record for BaTlVO4. The powder diffractogram is simulated, not measured: it uses a PBE+U-relaxed structure and CuKα.
Kinematic intensities with the Lorentz-polarization factor, no thermal factor.

Main lines, by angle (2θ from 10° to 90°):
2θ 20.3, I 411; 2θ 25.0, I 422; 2θ 26.7, I 328; 2θ 27.9, I 370; 2θ 28.0, I 703; 2θ 29.3, I 1000; 2θ 29.7, I 652; 2θ 50.8, I 356

Cell and atoms:
```
BaTlVO4
1.0
8.022 0.000 0.000
0.000 6.014 0.000
0.000 0.000 10.631
Ba Tl V O
4 4 4 16
Direct
0.004 0.250 0.202 Ba
0.496 0.750 0.702 Ba
0.504 0.250 0.298 Ba
0.996 0.750 0.798 Ba
0.171 0.750 0.427 Tl
0.329 0.250 0.927 Tl
0.671 0.750 0.073 Tl
0.829 0.250 0.573 Tl
0.222 0.750 0.080 V
0.278 0.250 0.580 V
0.722 0.750 0.420 V
0.778 0.250 0.920 V
0.006 0.750 0.073 O
0.205 0.250 0.425 O
0.212 0.007 0.656 O
0.212 0.493 0.656 O
0.288 0.507 0.156 O
0.288 0.993 0.156 O
0.295 0.750 0.925 O
0.494 0.250 0.573 O
0.506 0.750 0.427 O
0.705 0.250 0.075 O
0.712 0.007 0.844 O
0.712 0.493 0.844 O
0.788 0.507 0.344 O
0.788 0.993 0.344 O
0.795 0.750 0.575 O
0.994 0.250 0.927 O
```


8.
Diffraction record for GaFeO3. The powder diffractogram is simulated, not measured: it uses a PBE+U-relaxed structure and CuKα.
Kinematic intensities with the Lorentz-polarization factor, no thermal factor.

Main lines, by angle (2θ from 10° to 90°):
2θ 33.2, I 1000; 2θ 41.0, I 108; 2θ 47.7, I 412; 2θ 59.4, I 367; 2θ 69.8, I 227; 2θ 79.5, I 153; 2θ 84.3, I 27; 2θ 89.0, I 75

Cell and atoms:
```
GaFeO3
1.0
3.811 0.000 0.000
0.000 3.811 0.000
0.000 0.000 3.811
Ga Fe O
1 1 3
Direct
0.000 0.000 0.000 Ga
0.500 0.500 0.500 Fe
0.000 0.500 0.500 O
0.500 0.000 0.500 O
0.500 0.500 0.000 O
```


What is the formula in the seventh record? BaTlVO4


Number 5 is which compound? LiMnF4